Starting from DFT lattice parameters and positions (GGA-PBE), the PXRD pattern of Rb2PaGeS5 was computed for Cu Kα X-rays.

Structure:
Unit cell a=18.9549 b=4.2407 c=14.1530 alpha=90.00 beta=90.02 gamma=90.00
Space group Cm (No. 8)
One atom of each set of equivalent atoms:
1 Rb 0.0000 0.0000 0.0000 x2
2 Rb 0.0102 0.0000 0.3479 x2
3 Rb 0.2406 0.0000 0.8482 x2
4 Rb 0.2505 0.0000 0.5004 x2
5 Pa 0.3254 0.0000 0.1986 x2
6 Pa 0.4249 0.5000 0.6988 x2
7 Ge 0.0652 0.5000 0.5991 x2
8 Ge 0.1851 0.5000 0.0986 x2
9 S 0.0721 0.0000 0.6806 x2
10 S 0.1169 0.5000 0.4625 x2
11 S 0.1335 0.5000 0.9619 x2
12 S 0.1781 0.0000 0.1801 x2
13 S 0.2956 0.5000 0.6769 x2
14 S 0.3102 0.5000 0.0704 x2
15 S 0.3223 0.5000 0.3154 x2
16 S 0.4281 0.0000 0.8155 x2
17 S 0.4401 0.0000 0.5705 x2
18 S 0.4547 0.0000 0.1767 x2

Peak list (8 most intense, 5 to 70 degrees two-theta, low angle first)
2θ 11.24, I 38.9
2θ 12.51, I 40.2
2θ 15.63, I 51.1
2θ 21.04, I 42.0
2θ 26.08, I 32.2
2θ 28.69, I 100.0
2θ 28.96, I 47.7
2θ 34.16, I 37.6

=====

Starting from DFT lattice parameters and positions (GGA-PBE), the PXRD pattern of Pa4Re7Ge6 was computed for Cu Kα X-rays.

Structure:
Unit cell a=8.4575 b=8.4575 c=8.4575 alpha=90.00 beta=90.00 gamma=90.00
Space group Im-3m (No. 229)
One atom of each set of equivalent atoms:
1 Pa 0.2500 0.2500 0.2500 x8
2 Re 0.0000 0.0000 0.0000 x2
3 Re 0.0000 0.2500 0.5000 x12
4 Ge 0.0000 0.0000 0.3097 x12

Peak list (8 most intense, 5 to 70 degrees two-theta, low angle first)
2θ 25.80, I 17.4
2θ 29.88, I 23.4
2θ 36.81, I 100.0
2θ 39.88, I 28.3
2θ 42.77, I 67.0
2θ 50.62, I 13.3
2θ 62.08, I 40.3
2θ 68.37, I 7.2